Diffraction record for K2RbVF5. The PXRD pattern is calculated, not measured: it uses a DFT-relaxed cell (GGA+U, Alexandria) and CuKα.
Neutral-atom scattering factors, no anomalous dispersion.

Largest 6 diffraction maxima, by angle, 5 to 70 degrees two-theta:
2θ/deg	I/Imax	(hkl)
14.16	271	0 0 2
29.34	1000	1 1 2
36.47	250	1 2 1
40.70	432	0 2 4
50.89	227	1 3 2
60.86	236	2 2 4

Crystal structure
a b c (Å): 4.186 6.284 12.514
angles (deg): 90.00 90.00 90.00
Space group Immm (No. 71)
Inequivalent atoms, fractional coordinates:
K (0.000, 0.000, 0.214) (multiplicity 4)
Rb (0.000, 0.500, 0.000) (multiplicity 2)
V (0.000, 0.500, 0.500) (multiplicity 2)
F (0.000, 0.000, 0.000) (multiplicity 2)
F (0.000, 0.267, 0.376) (multiplicity 8)